YAl3C3: calculated powder diffractogram (CuKα), based on DFT lattice parameters and positions (GGA-PBE).

Most intense lines, 15° ≤ 2θ ≤ 90°, low angle first:
2θ 20.48, rel. 15; 2θ 31.77, rel. 100; 2θ 36.60, rel. 64; 2θ 39.90, rel. 16; 2θ 41.66, rel. 20; 2θ 43.63, rel. 41; 2θ 53.27, rel. 37; 2θ 61.91, rel. 16; 2θ 63.37, rel. 13; 2θ 69.81, rel. 25

Atomic structure:
```
data_YAl3C3
_cell_length_a 3.4391
_cell_length_b 3.4391
_cell_length_c 17.3443
_cell_angle_alpha 90.00
_cell_angle_beta 90.00
_cell_angle_gamma 120.00
_space_group_name_H-M_alt 'P 63 m c'
_space_group_IT_number 186
_space_group_name_Hall 'P 6c -2c'
loop_
_atom_site_label
_atom_site_fract_x
_atom_site_fract_y
_atom_site_fract_z
_atom_site_occupancy
Y1 0.0000 0.0000 0.0000 1
Al1 0.3333 0.6667 0.1337 1
Al2 0.3333 0.6667 0.3658 1
Al3 0.3333 0.6667 0.7520 1
C1 0.3333 0.6667 0.2494 1
C2 0.3333 0.6667 0.5918 1
C3 0.3333 0.6667 0.9047 1
```

---

Rb3H5Pd: calculated powder diffractogram (CuKα), based on DFT lattice parameters and positions (GGA-PBE).

Most intense lines, 15° ≤ 2θ ≤ 90°, low angle first:
2θ 25.44, rel. 15; 2θ 27.05, rel. 100; 2θ 29.23, rel. 28; 2θ 29.40, rel. 24; 2θ 32.34, rel. 25; 2θ 39.14, rel. 11; 2θ 44.15, rel. 20; 2θ 50.52, rel. 17; 2θ 54.53, rel. 10; 2θ 61.01, rel. 9

Atomic structure:
```
data_Rb3H5Pd
_cell_length_a 7.829
_cell_length_b 7.829
_cell_length_c 6.110
_cell_angle_alpha 90.00
_cell_angle_beta 90.00
_cell_angle_gamma 90.00
_space_group_name_H-M_alt 'P 4/m b m'
_space_group_IT_number 127
_space_group_name_Hall '-P 4 2ab'
loop_
_atom_site_label
_atom_site_fract_x
_atom_site_fract_y
_atom_site_fract_z
_atom_site_occupancy
Rb1 0.000 0.000 0.000 1
Rb2 0.184 0.316 0.500 1
H1 0.000 0.000 0.500 1
H2 0.109 0.609 0.188 1
Pd1 0.000 0.500 0.000 1
```

---

MgSi2O5: calculated powder diffractogram (CuKα), based on DFT lattice parameters and positions (GGA-PBE).

Most intense lines, 15° ≤ 2θ ≤ 90°, low angle first:
2θ 17.16, rel. 32; 2θ 25.66, rel. 33; 2θ 31.30, rel. 78; 2θ 32.85, rel. 100; 2θ 34.72, rel. 26; 2θ 42.63, rel. 44; 2θ 44.28, rel. 36; 2θ 48.94, rel. 63; 2θ 58.91, rel. 41; 2θ 64.30, rel. 34

Atomic structure:
```
data_MgSi2O5
_cell_length_a 6.944
_cell_length_b 7.735
_cell_length_c 5.357
_cell_angle_alpha 90.00
_cell_angle_beta 90.00
_cell_angle_gamma 90.00
_space_group_name_H-M_alt 'P b a m'
_space_group_IT_number 55
loop_
_space_group_symop_operation_xyz
'x,y,z'
'-x,-y,-z'
'-x,-y,z'
'x,y,-z'
'x+1/2,-y+1/2,-z'
'-x+1/2,y+1/2,z'
'-x+1/2,y+1/2,-z'
'x+1/2,-y+1/2,z'
loop_
_atom_site_label
_atom_site_fract_x
_atom_site_fract_y
_atom_site_fract_z
_atom_site_occupancy
Mg1 0.146 0.161 0.000 1
Si1 0.000 0.500 0.245 1
Si2 0.113 0.854 0.500 1
O1 0.000 0.000 0.288 1
O2 0.113 0.705 0.261 1
O3 0.155 0.437 0.000 1
O4 0.156 0.425 0.500 1
```

---

Zr3P: calculated powder diffractogram (CuKα), based on DFT lattice parameters and positions (GGA-PBE).

Most intense lines, 15° ≤ 2θ ≤ 90°, low angle first:
2θ 30.89, rel. 38; 2θ 34.12, rel. 100; 2θ 35.06, rel. 35; 2θ 35.35, rel. 56; 2θ 37.04, rel. 54; 2θ 38.04, rel. 75; 2θ 40.96, rel. 20; 2θ 42.45, rel. 20; 2θ 42.70, rel. 24; 2θ 70.61, rel. 18

Atomic structure:
```
data_Zr3P
_cell_length_a 10.859
_cell_length_b 10.859
_cell_length_c 5.381
_cell_angle_alpha 90.00
_cell_angle_beta 90.00
_cell_angle_gamma 90.00
_space_group_name_H-M_alt 'P 42/n'
_space_group_IT_number 86
loop_
_space_group_symop_operation_xyz
'x,y,z'
'-x,-y,-z'
'-y,x+1/2,z+1/2'
'y,-x+1/2,-z+1/2'
'-x+1/2,-y+1/2,z'
'x+1/2,y+1/2,-z'
'y+1/2,-x,z+1/2'
'-y+1/2,x,-z+1/2'
loop_
_atom_site_label
_atom_site_fract_x
_atom_site_fract_y
_atom_site_fract_z
_atom_site_occupancy
Zr1 0.035 0.571 0.235 1
Zr2 0.113 0.223 0.028 1
Zr3 0.143 0.665 0.713 1
P1 0.044 0.209 0.537 1
```

---

K2NaInF6: calculated powder diffractogram (CuKα), based on DFT lattice parameters and positions (GGA-PBE).

Most intense lines, 15° ≤ 2θ ≤ 90°, low angle first:
2θ 17.59, rel. 65; 2θ 20.34, rel. 34; 2θ 28.92, rel. 100; 2θ 34.05, rel. 31; 2θ 41.36, rel. 62; 2θ 46.51, rel. 15; 2θ 51.26, rel. 38; 2θ 59.93, rel. 35; 2θ 67.89, rel. 16; 2θ 82.71, rel. 19

Atomic structure:
```
data_K2NaInF6
_cell_length_a 8.732
_cell_length_b 8.732
_cell_length_c 8.732
_cell_angle_alpha 90.00
_cell_angle_beta 90.00
_cell_angle_gamma 90.00
_space_group_name_H-M_alt 'F m -3 m'
_space_group_IT_number 225
_space_group_name_Hall '-F 4 2 3'
loop_
_atom_site_label
_atom_site_fract_x
_atom_site_fract_y
_atom_site_fract_z
_atom_site_occupancy
K1 0.250 0.250 0.250 1
Na1 0.000 0.000 0.000 1
In1 0.000 0.000 0.500 1
F1 0.000 0.000 0.259 1
```

---

MnAl2Cu: calculated powder diffractogram (CuKα), based on DFT lattice parameters and positions (GGA-PBE).

Most intense lines, 15° ≤ 2θ ≤ 90°, low angle first:
2θ 26.68, rel. 14; 2θ 31.89, rel. 17; 2θ 42.04, rel. 100; 2θ 45.72, rel. 39; 2θ 53.72, rel. 7; 2θ 54.96, rel. 11; 2θ 64.96, rel. 4; 2θ 66.65, rel. 12; 2θ 74.19, rel. 17; 2θ 82.01, rel. 25

Atomic structure:
```
data_MnAl2Cu
_cell_length_a 2.807
_cell_length_b 2.807
_cell_length_c 6.683
_cell_angle_alpha 90.00
_cell_angle_beta 90.00
_cell_angle_gamma 90.00
_space_group_name_H-M_alt 'P 4/m m m'
_space_group_IT_number 123
_space_group_name_Hall '-P 4 2'
loop_
_atom_site_label
_atom_site_fract_x
_atom_site_fract_y
_atom_site_fract_z
_atom_site_occupancy
Mn1 0.000 0.000 0.000 1
Al1 0.500 0.500 0.248 1
Cu1 0.000 0.000 0.500 1
```

---

TbSi3Rh5: calculated powder diffractogram (CuKα), based on DFT lattice parameters and positions (GGA-PBE).

Most intense lines, 15° ≤ 2θ ≤ 90°, low angle first:
2θ 28.70, rel. 18; 2θ 28.83, rel. 9; 2θ 35.13, rel. 9; 2θ 37.01, rel. 100; 2θ 41.60, rel. 9; 2θ 46.74, rel. 19; 2θ 46.91, rel. 11; 2θ 50.84, rel. 16; 2θ 71.53, rel. 11; 2θ 80.26, rel. 10

Atomic structure:
```
data_TbSi3Rh5
_cell_length_a 15.6570
_cell_length_b 15.6570
_cell_length_c 3.8872
_cell_angle_alpha 90.00
_cell_angle_beta 90.00
_cell_angle_gamma 120.00
_space_group_name_H-M_alt 'P 63/m'
_space_group_IT_number 176
_space_group_name_Hall '-P 6c'
loop_
_atom_site_label
_atom_site_fract_x
_atom_site_fract_y
_atom_site_fract_z
_atom_site_occupancy
Tb1 0.1000 0.7059 0.2500 1
Si1 0.0621 0.4327 0.2500 1
Si2 0.1194 0.8694 0.7500 1
Si3 0.2398 0.6812 0.7500 1
Rh1 0.0288 0.8869 0.2500 1
Rh2 0.0441 0.2711 0.2500 1
Rh3 0.0751 0.5385 0.7500 1
Rh4 0.1534 0.4144 0.7500 1
Rh5 0.2235 0.5712 0.2500 1
```

---

KCrCl3: calculated powder diffractogram (CuKα), based on DFT lattice parameters and positions (GGA-PBE).

Most intense lines, 15° ≤ 2θ ≤ 90°, low angle first:
2θ 17.83, rel. 40; 2θ 25.32, rel. 45; 2θ 31.13, rel. 46; 2θ 36.10, rel. 100; 2θ 40.54, rel. 17; 2θ 44.61, rel. 18; 2θ 51.98, rel. 61; 2θ 61.85, rel. 14; 2θ 64.92, rel. 19; 2θ 87.69, rel. 17

Atomic structure:
```
data_KCrCl3
_cell_length_a 4.978
_cell_length_b 4.978
_cell_length_c 4.971
_cell_angle_alpha 90.00
_cell_angle_beta 90.00
_cell_angle_gamma 90.00
_space_group_name_H-M_alt 'P 4 m m'
_space_group_IT_number 99
loop_
_space_group_symop_operation_xyz
'x,y,z'
'-y,x,z'
'-x,-y,z'
'y,-x,z'
'-x,y,z'
'y,x,z'
'x,-y,z'
'-y,-x,z'
loop_
_atom_site_label
_atom_site_fract_x
_atom_site_fract_y
_atom_site_fract_z
_atom_site_occupancy
K1 0.000 0.000 0.000 1
Cr1 0.500 0.500 0.488 1
Cl1 0.000 0.500 0.489 1
Cl2 0.500 0.500 0.988 1
```

---

ReN2: calculated powder diffractogram (CuKα), based on DFT lattice parameters and positions (GGA-PBE).

Most intense lines, 15° ≤ 2θ ≤ 90°, low angle first:
2θ 22.56, rel. 100; 2θ 35.83, rel. 58; 2θ 36.19, rel. 30; 2θ 42.75, rel. 88; 2θ 43.06, rel. 47; 2θ 46.05, rel. 16; 2θ 59.68, rel. 33; 2θ 59.93, rel. 18; 2θ 69.61, rel. 18; 2θ 83.17, rel. 17

Atomic structure:
```
data_ReN2
_cell_length_a 2.903
_cell_length_b 4.964
_cell_length_c 7.884
_cell_angle_alpha 90.00
_cell_angle_beta 90.00
_cell_angle_gamma 90.00
_space_group_name_H-M_alt 'P b c m'
_space_group_IT_number 57
loop_
_space_group_symop_operation_xyz
'x,y,z'
'-x,-y,-z'
'-x,-y,z+1/2'
'x,y,-z+1/2'
'x,-y+1/2,-z'
'-x,y+1/2,z'
'-x,y+1/2,-z+1/2'
'x,-y+1/2,z+1/2'
loop_
_atom_site_label
_atom_site_fract_x
_atom_site_fract_y
_atom_site_fract_z
_atom_site_occupancy
Re1 0.204 0.250 0.000 1
N1 0.292 0.580 0.164 1
```

---

SrEuDyNbO6: calculated powder diffractogram (CuKα), based on DFT lattice parameters and positions (GGA-PBE).

Most intense lines, 15° ≤ 2θ ≤ 90°, low angle first:
2θ 18.30, rel. 4; 2θ 30.09, rel. 100; 2θ 43.08, rel. 27; 2θ 53.44, rel. 44; 2θ 62.56, rel. 16; 2θ 70.94, rel. 12; 2θ 71.04, rel. 6; 2θ 78.98, rel. 5; 2θ 86.75, rel. 19; 2θ 86.82, rel. 4

Atomic structure:
```
data_SrEuDyNbO6
_cell_length_a 8.391
_cell_length_b 8.400
_cell_length_c 8.406
_cell_angle_alpha 90.00
_cell_angle_beta 90.00
_cell_angle_gamma 90.00
_space_group_name_H-M_alt 'P 2 2 2'
_space_group_IT_number 16
loop_
_space_group_symop_operation_xyz
'x,y,z'
'-x,-y,z'
'x,-y,-z'
'-x,y,-z'
loop_
_atom_site_label
_atom_site_fract_x
_atom_site_fract_y
_atom_site_fract_z
_atom_site_occupancy
Sr1 0.000 0.000 0.000 1
Sr2 0.000 0.000 0.500 1
Sr3 0.500 0.000 0.000 1
Sr4 0.500 0.500 0.500 1
Eu1 0.000 0.500 0.000 1
Eu2 0.000 0.500 0.500 1
Eu3 0.500 0.000 0.500 1
Eu4 0.500 0.500 0.000 1
Dy1 0.250 0.250 0.750 1
Nb1 0.250 0.250 0.250 1
O1 0.014 0.216 0.208 1
O2 0.207 0.487 0.286 1
O3 0.216 0.209 0.486 1
O4 0.285 0.293 0.014 1
O5 0.291 0.014 0.216 1
O6 0.486 0.285 0.291 1
```